The following is a computed PXRD pattern of BAu. It was derived from DFT lattice parameters and positions (PBE), using Cu Kα (λ = 1.5418 Å).
Peak positions follow from Bragg's law for the DFT cell and can differ from measured ones.

Peak list (10 most intense, 2θ from 10° to 90°, by angle)
hkl 1 0 0, 2θ = 29.38°, I 26; hkl 0 0 2, 2θ = 30.21°, I 30; hkl 1 0 1, 2θ = 33.14°, I 100; hkl 1 0 2, 2θ = 42.65°, I 18; hkl 1 1 0, 2θ = 52.12°, I 21; hkl 1 0 3, 2θ = 55.55°, I 26; hkl 1 1 2, 2θ = 61.43°, I 24; hkl 2 0 1, 2θ = 63.16°, I 16; hkl 1 1 4, 2θ = 85.95°, I 10; hkl 2 1 1, 2θ = 86.25°, I 15

Structure:
```
data_BAu
_cell_length_a 3.5098
_cell_length_b 3.5098
_cell_length_c 5.9160
_cell_angle_alpha 90.00
_cell_angle_beta 90.00
_cell_angle_gamma 120.00
_space_group_name_H-M_alt 'P 1'
_space_group_IT_number 1
_space_group_name_Hall 'P 1'
loop_
_atom_site_label
_atom_site_type_symbol
_atom_site_fract_x
_atom_site_fract_y
_atom_site_fract_z
B1 B 0.3333 0.6667 0.0000
B2 B 0.6667 0.3333 0.5000
Au1 Au 0.3333 0.6667 0.6294
Au2 Au 0.6667 0.3333 0.1294
```